# 1
This entry pairs a crystal structure of NdYCo2Ge2C with its computed XRD peak list. Radiation: Cu Kα (λ = 1.5418 Å). Structure: a structure optimized by DFT (GGA-PBE).

The 10 most intense peaks (10 to 80 degrees two-theta), by angle:
| 2θ/deg | d (Å) | I (rel.) |
| --- | --- | --- |
| 33.01 | 2.714 | 321 |
| 33.27 | 2.693 | 603 |
| 33.61 | 2.666 | 846 |
| 34.45 | 2.603 | 448 |
| 35.74 | 2.512 | 1000 |
| 36.05 | 2.492 | 445 |
| 39.04 | 2.307 | 792 |
| 40.59 | 2.223 | 449 |
| 45.52 | 1.993 | 528 |
| 64.52 | 1.444 | 325 |

Structure:
```
data_NdYCo2Ge2C
_cell_length_a 10.8662
_cell_length_b 3.9853
_cell_length_c 6.9462
_cell_angle_alpha 90.00
_cell_angle_beta 128.62
_cell_angle_gamma 90.00
_symmetry_space_group_name_H-M 'C 1 m 1'
_symmetry_Int_Tables_number 8
_symmetry_space_group_name_Hall 'C -2y'
loop_
_atom_site_label
_atom_site_fract_x
_atom_site_fract_y
_atom_site_fract_z
_atom_site_occupancy
Nd1 0.0000 0.0000 0.0000 1
Y1 0.3814 0.5000 0.4102 1
Co1 0.1284 0.5000 0.7813 1
Co2 0.2494 0.0000 0.6214 1
Ge1 0.1072 0.5000 0.4167 1
Ge2 0.2737 0.0000 0.9933 1
C1 0.4368 0.0000 0.6935 1
```


# 2
This entry pairs a crystal structure of Pm2PdO4 with its computed XRD peak list. Radiation: Cu Kα (λ = 1.5418 Å). Structure: a structure optimized by DFT (GGA-PBE).

The 10 most intense peaks (10 to 80 degrees two-theta), by angle:
| 2θ/deg | d (Å) | I (rel.) |
| --- | --- | --- |
| 31.26 | 2.862 | 1000 |
| 31.53 | 2.837 | 163 |
| 31.69 | 2.824 | 191 |
| 44.26 | 2.047 | 93 |
| 45.31 | 2.001 | 204 |
| 55.40 | 1.658 | 183 |
| 55.98 | 1.643 | 144 |
| 56.17 | 1.638 | 198 |
| 65.20 | 1.431 | 92 |
| 74.87 | 1.268 | 68 |

Structure:
```
data_Pm2PdO4
_cell_length_a 5.6475
_cell_length_b 5.6741
_cell_length_c 12.2795
_cell_angle_alpha 90.00
_cell_angle_beta 90.00
_cell_angle_gamma 90.00
_symmetry_space_group_name_H-M 'P b c a'
_symmetry_Int_Tables_number 61
_symmetry_space_group_name_Hall '-P 2ac 2ab'
loop_
_atom_site_label
_atom_site_fract_x
_atom_site_fract_y
_atom_site_fract_z
_atom_site_occupancy
Pm1 0.0095 0.0385 0.1560 1
Pd1 0.0000 0.0000 0.5000 1
O1 0.1892 0.6901 0.5107 1
O2 0.2420 0.2113 0.7555 1
```


# 3
This entry pairs a crystal structure of TbGdTa2Ge2 with its computed XRD peak list. Radiation: Cu Kα (λ = 1.5418 Å). Structure: a structure optimized by DFT (GGA-PBE).

The 10 most intense peaks (10 to 80 degrees two-theta), by angle:
| 2θ/deg | d (Å) | I (rel.) |
| --- | --- | --- |
| 11.18 | 7.916 | 347 |
| 31.67 | 2.825 | 389 |
| 33.39 | 2.684 | 1000 |
| 33.98 | 2.639 | 331 |
| 38.92 | 2.314 | 821 |
| 44.94 | 2.017 | 514 |
| 56.60 | 1.626 | 172 |
| 57.51 | 1.602 | 297 |
| 75.48 | 1.259 | 193 |
| 78.83 | 1.214 | 211 |

Structure:
```
data_TbGdTa2Ge2
_cell_length_a 4.0342
_cell_length_b 4.0342
_cell_length_c 7.9158
_cell_angle_alpha 90.00
_cell_angle_beta 90.00
_cell_angle_gamma 90.00
_symmetry_space_group_name_H-M 'P 4 m m'
_symmetry_Int_Tables_number 99
_symmetry_space_group_name_Hall 'P 4 -2'
loop_
_atom_site_label
_atom_site_fract_x
_atom_site_fract_y
_atom_site_fract_z
_atom_site_occupancy
Tb1 0.0000 0.0000 0.0000 1
Gd1 0.5000 0.5000 0.2970 1
Ta1 0.0000 0.5000 0.6494 1
Ge1 0.0000 0.0000 0.4062 1
Ge2 0.5000 0.5000 0.8928 1
```


# 4
This entry pairs a crystal structure of K4LiReO6 with its computed XRD peak list. Radiation: Cu Kα (λ = 1.5418 Å). Structure: a structure optimized by DFT (GGA-PBE).

The 10 most intense peaks (10 to 80 degrees two-theta), by angle:
| 2θ/deg | d (Å) | I (rel.) |
| --- | --- | --- |
| 16.36 | 5.420 | 280 |
| 16.73 | 5.300 | 645 |
| 18.33 | 4.839 | 1000 |
| 18.61 | 4.769 | 471 |
| 23.48 | 3.789 | 575 |
| 29.74 | 3.004 | 280 |
| 29.92 | 2.986 | 700 |
| 33.78 | 2.654 | 672 |
| 38.26 | 2.352 | 713 |
| 51.44 | 1.776 | 305 |

Structure:
```
data_K4LiReO6
_cell_length_a 6.2116
_cell_length_b 10.8395
_cell_length_c 6.0874
_cell_angle_alpha 90.00
_cell_angle_beta 119.47
_cell_angle_gamma 90.00
_symmetry_space_group_name_H-M 'C 1 2/m 1'
_symmetry_Int_Tables_number 12
_symmetry_space_group_name_Hall '-C 2y'
loop_
_atom_site_label
_atom_site_fract_x
_atom_site_fract_y
_atom_site_fract_z
_atom_site_occupancy
K1 0.0000 0.1680 0.0000 1
K2 0.0000 0.3226 0.5000 1
Li1 0.0000 0.0000 0.5000 1
Re1 0.0000 0.5000 0.0000 1
O1 0.1726 0.5000 0.8179 1
O2 0.2255 0.3774 0.2278 1
```


# 5
This entry pairs a crystal structure of Nd3Er2TmOsS2 with its computed XRD peak list. Radiation: Cu Kα (λ = 1.5418 Å). Structure: a structure optimized by DFT (GGA-PBE).

The 10 most intense peaks (10 to 80 degrees two-theta), by angle:
| 2θ/deg | d (Å) | I (rel.) |
| --- | --- | --- |
| 12.87 | 6.878 | 474 |
| 31.76 | 2.817 | 836 |
| 34.41 | 2.606 | 1000 |
| 34.51 | 2.599 | 370 |
| 39.30 | 2.293 | 188 |
| 41.43 | 2.179 | 317 |
| 45.37 | 1.999 | 200 |
| 53.22 | 1.721 | 233 |
| 58.22 | 1.585 | 244 |
| 63.37 | 1.468 | 296 |

Structure:
```
data_Nd3Er2TmOsS2
_cell_length_a 3.9975
_cell_length_b 13.7488
_cell_length_c 7.9467
_cell_angle_alpha 90.00
_cell_angle_beta 90.00
_cell_angle_gamma 90.00
_symmetry_space_group_name_H-M 'A m m 2'
_symmetry_Int_Tables_number 38
_symmetry_space_group_name_Hall 'A 2 -2'
loop_
_atom_site_label
_atom_site_fract_x
_atom_site_fract_y
_atom_site_fract_z
_atom_site_occupancy
Nd1 0.0000 0.0000 0.0000 1
Nd2 0.0000 0.2069 0.3783 1
Er1 0.5000 0.1220 0.7077 1
Tm1 0.5000 0.0000 0.3408 1
Os1 0.0000 0.0000 0.5828 1
S1 0.5000 0.1663 0.0854 1
```


# 6
This entry pairs a crystal structure of HoErCd6 with its computed XRD peak list. Radiation: Cu Kα (λ = 1.5418 Å). Structure: a structure optimized by DFT (GGA-PBE).

The 9 most intense peaks (10 to 80 degrees two-theta), by angle:
| 2θ/deg | d (Å) | I (rel.) |
| --- | --- | --- |
| 21.59 | 4.115 | 21 |
| 24.99 | 3.564 | 11 |
| 35.63 | 2.520 | 1000 |
| 42.04 | 2.149 | 12 |
| 51.27 | 1.782 | 173 |
| 56.26 | 1.635 | 6 |
| 57.86 | 1.594 | 5 |
| 63.99 | 1.455 | 348 |
| 75.45 | 1.260 | 107 |

Structure:
```
data_HoErCd6
_cell_length_a 5.0390
_cell_length_b 5.0390
_cell_length_c 7.1303
_cell_angle_alpha 90.00
_cell_angle_beta 90.00
_cell_angle_gamma 90.00
_symmetry_space_group_name_H-M 'P 4/m m m'
_symmetry_Int_Tables_number 123
_symmetry_space_group_name_Hall '-P 4 2'
loop_
_atom_site_label
_atom_site_fract_x
_atom_site_fract_y
_atom_site_fract_z
_atom_site_occupancy
Ho1 0.0000 0.0000 0.0000 1
Er1 0.5000 0.5000 0.5000 1
Cd1 0.0000 0.0000 0.5000 1
Cd2 0.0000 0.5000 0.2504 1
Cd3 0.5000 0.5000 0.0000 1
```


# 7
This entry pairs a crystal structure of ErTcIr with its computed XRD peak list. Radiation: Cu Kα (λ = 1.5418 Å). Structure: a structure optimized by DFT (GGA-PBE).

The 10 most intense peaks (10 to 80 degrees two-theta), by angle:
| 2θ/deg | d (Å) | I (rel.) |
| --- | --- | --- |
| 24.32 | 3.659 | 417 |
| 28.16 | 3.169 | 98 |
| 40.25 | 2.241 | 1000 |
| 47.59 | 1.911 | 213 |
| 49.84 | 1.830 | 27 |
| 58.23 | 1.584 | 170 |
| 64.04 | 1.454 | 89 |
| 65.91 | 1.417 | 34 |
| 73.15 | 1.294 | 345 |
| 78.40 | 1.220 | 67 |

Structure:
```
data_ErTcIr
_cell_length_a 6.3378
_cell_length_b 6.3378
_cell_length_c 6.3378
_cell_angle_alpha 90.00
_cell_angle_beta 90.00
_cell_angle_gamma 90.00
_symmetry_space_group_name_H-M 'F -4 3 m'
_symmetry_Int_Tables_number 216
_symmetry_space_group_name_Hall 'F -4 2 3'
loop_
_atom_site_label
_atom_site_fract_x
_atom_site_fract_y
_atom_site_fract_z
_atom_site_occupancy
Er1 0.0000 0.0000 0.0000 1
Tc1 0.2500 0.2500 0.2500 1
Ir1 0.2500 0.2500 0.7500 1
```


# 8
This entry pairs a crystal structure of Na2Tm3Te4Cl3O12 with its computed XRD peak list. Radiation: Cu Kα (λ = 1.5418 Å). Structure: a structure optimized by DFT (GGA-PBE).

The 10 most intense peaks (10 to 80 degrees two-theta), by angle:
| 2θ/deg | d (Å) | I (rel.) |
| --- | --- | --- |
| 10.44 | 8.473 | 484 |
| 20.11 | 4.414 | 122 |
| 24.13 | 3.688 | 97 |
| 25.37 | 3.511 | 322 |
| 31.36 | 2.853 | 1000 |
| 32.83 | 2.728 | 308 |
| 46.24 | 1.964 | 97 |
| 47.11 | 1.929 | 170 |
| 54.87 | 1.673 | 185 |
| 57.72 | 1.597 | 184 |

Structure:
```
data_Na2Tm3Te4Cl3O12
_cell_length_a 23.5563
_cell_length_b 5.4504
_cell_length_c 16.3866
_cell_angle_alpha 90.00
_cell_angle_beta 134.00
_cell_angle_gamma 90.00
_symmetry_space_group_name_H-M 'C 1 2/c 1'
_symmetry_Int_Tables_number 15
_symmetry_space_group_name_Hall '-C 2yc'
loop_
_atom_site_label
_atom_site_fract_x
_atom_site_fract_y
_atom_site_fract_z
_atom_site_occupancy
Na1 0.1657 0.2282 0.0750 1
Tm1 0.0004 0.2480 0.0843 1
Tm2 0.0000 0.2520 0.7500 1
Te1 0.1350 0.2083 0.7007 1
Te2 0.1373 0.2971 0.4052 1
Cl1 0.2498 0.2473 0.6686 1
Cl2 0.2500 0.2500 0.0000 1
O1 0.0682 0.0730 0.7156 1
O2 0.0704 0.4551 0.5899 1
O3 0.0721 0.4317 0.2561 1
O4 0.0743 0.0430 0.3882 1
O5 0.0839 0.0164 0.0764 1
O6 0.0856 0.4837 0.9274 1
```